(1)
GdHfGa2Pt4: calculated powder diffraction line list (Cu Kα), based on a DFT-relaxed cell (PBE, OQMD).
Kinematic intensities with the Lorentz-polarization factor, no thermal factor.

Peak list (12 most intense, 2θ from 10° to 90°, by angle)
- d = 3.760 Å, 23.67 deg, intensity 32
- d = 2.883 Å, 31.02 deg, intensity 5
- d = 2.342 Å, 38.44 deg, intensity 100
- d = 2.171 Å, 41.61 deg, intensity 72
- d = 1.928 Å, 47.15 deg, intensity 4
- d = 1.880 Å, 48.42 deg, intensity 5
- d = 1.592 Å, 57.93 deg, intensity 31
- d = 1.391 Å, 67.34 deg, intensity 10
- d = 1.284 Å, 73.82 deg, intensity 31
- d = 1.253 Å, 75.93 deg, intensity 12
- d = 1.232 Å, 77.46 deg, intensity 12
- d = 1.171 Å, 82.36 deg, intensity 5

Structure:
Unit cell a=4.3411 b=4.3411 c=8.9801 alpha=90.00 beta=90.00 gamma=120.00
Space group P-6m2 (No. 187)
Inequivalent atoms, fractional coordinates:
Gd (0.0000, 0.0000, 0.0000) x1
Hf (0.6667, 0.3333, 0.5000) x1
Ga (0.3333, 0.6667, 0.2514) x2
Pt (0.0000, 0.0000, 0.3480) x2
Pt (0.6667, 0.3333, 0.1771) x2

(2)
Gd2Ga3Hg3: calculated powder diffraction line list (Cu Kα), based on a DFT-relaxed cell (PBE, OQMD).
Kinematic intensities with the Lorentz-polarization factor, no thermal factor.

Peak list (12 most intense, 2θ from 10° to 90°, by angle)
- d = 5.699 Å, 15.55 deg, intensity 5
- d = 4.757 Å, 18.65 deg, intensity 13
- d = 2.850 Å, 31.39 deg, intensity 33
- d = 2.445 Å, 36.77 deg, intensity 100
- d = 2.379 Å, 37.82 deg, intensity 20
- d = 1.826 Å, 49.94 deg, intensity 18
- d = 1.645 Å, 55.89 deg, intensity 18
- d = 1.555 Å, 59.45 deg, intensity 4
- d = 1.386 Å, 67.61 deg, intensity 17
- d = 1.365 Å, 68.78 deg, intensity 15
- d = 1.353 Å, 69.47 deg, intensity 19
- d = 1.222 Å, 78.21 deg, intensity 5

Structure:
Unit cell a=6.5808 b=6.5808 c=4.7572 alpha=90.00 beta=90.00 gamma=120.00
Space group P-6m2 (No. 187)
Inequivalent atoms, fractional coordinates:
Gd (0.0000, 0.0000, 0.0000) x1
Gd (0.3333, 0.6667, 0.5000) x1
Ga (0.5155, 0.0309, 0.0000) x3
Hg (0.3447, 0.1724, 0.5000) x3

(3)
Gd2Ga3Hg3: calculated powder diffraction line list (Cu Kα), based on a DFT-relaxed cell (PBE, OQMD).
Kinematic intensities with the Lorentz-polarization factor, no thermal factor.

Peak list (12 most intense, 2θ from 10° to 90°, by angle)
- d = 5.659 Å, 15.66 deg, intensity 15
- d = 3.668 Å, 24.27 deg, intensity 8
- d = 2.826 Å, 31.66 deg, intensity 26
- d = 2.700 Å, 33.18 deg, intensity 8
- d = 2.438 Å, 36.87 deg, intensity 100
- d = 2.409 Å, 37.33 deg, intensity 22
- d = 1.833 Å, 49.74 deg, intensity 15
- d = 1.633 Å, 56.34 deg, intensity 13
- d = 1.396 Å, 67.03 deg, intensity 18
- d = 1.355 Å, 69.36 deg, intensity 11
- d = 1.352 Å, 69.55 deg, intensity 13
- d = 1.349 Å, 69.68 deg, intensity 7

Structure:
Unit cell a=4.8173 b=6.5166 c=11.3222 alpha=90.00 beta=90.00 gamma=90.00
Space group Amm2 (No. 38)
Inequivalent atoms, fractional coordinates:
Gd (0.0000, 0.0000, 0.0000) x2
Gd (0.5000, 0.0000, 0.3344) x2
Ga (0.0000, 0.0000, 0.5065) x2
Ga (0.5000, 0.2280, 0.5814) x4
Hg (0.0000, 0.2463, 0.7394) x4
Hg (0.5000, 0.0000, 0.8268) x2

(4)
GdGaHg2: calculated powder diffraction line list (Cu Kα), based on a DFT-relaxed cell (PBE, OQMD).
Kinematic intensities with the Lorentz-polarization factor, no thermal factor.

Peak list (12 most intense, 2θ from 10° to 90°, by angle)
- d = 5.728 Å, 15.47 deg, intensity 14
- d = 2.864 Å, 31.23 deg, intensity 23
- d = 2.827 Å, 31.65 deg, intensity 13
- d = 2.472 Å, 36.34 deg, intensity 100
- d = 2.448 Å, 36.71 deg, intensity 78
- d = 1.861 Å, 48.94 deg, intensity 13
- d = 1.661 Å, 55.30 deg, intensity 10
- d = 1.639 Å, 56.11 deg, intensity 18
- d = 1.418 Å, 65.85 deg, intensity 18
- d = 1.414 Å, 66.10 deg, intensity 9
- d = 1.375 Å, 68.23 deg, intensity 25
- d = 1.362 Å, 68.94 deg, intensity 20

Structure:
Unit cell a=4.8974 b=11.3066 c=6.6444 alpha=90.00 beta=90.00 gamma=90.00
Space group Ama2 (No. 40)
Inequivalent atoms, fractional coordinates:
Gd (0.2500, 0.1647, 0.0000) x4
Ga (0.2500, 0.4243, 0.2483) x4
Hg (0.2500, 0.1615, 0.5141) x4
Hg (0.2500, 0.4164, 0.7597) x4

(5)
Gd2Ga5Hg: calculated powder diffraction line list (Cu Kα), based on a DFT-relaxed cell (PBE, OQMD).
Kinematic intensities with the Lorentz-polarization factor, no thermal factor.

Peak list (12 most intense, 2θ from 10° to 90°, by angle)
- d = 3.531 Å, 25.22 deg, intensity 23
- d = 3.238 Å, 27.55 deg, intensity 9
- d = 2.791 Å, 32.07 deg, intensity 24
- d = 2.754 Å, 32.51 deg, intensity 15
- d = 2.386 Å, 37.69 deg, intensity 100
- d = 2.363 Å, 38.08 deg, intensity 44
- d = 2.301 Å, 39.16 deg, intensity 30
- d = 1.775 Å, 51.47 deg, intensity 12
- d = 1.597 Å, 57.72 deg, intensity 16
- d = 1.344 Å, 69.99 deg, intensity 16
- d = 1.336 Å, 70.51 deg, intensity 12
- d = 1.312 Å, 71.97 deg, intensity 17

Structure:
Unit cell a=4.6013 b=6.4754 c=11.0168 alpha=90.00 beta=90.00 gamma=90.00
Space group Amm2 (No. 38)
Inequivalent atoms, fractional coordinates:
Gd (0.0000, 0.0000, 0.0000) x2
Gd (0.5000, 0.0000, 0.3223) x2
Ga (0.0000, 0.0000, 0.5121) x2
Ga (0.0000, 0.2208, 0.7300) x4
Ga (0.5000, 0.2235, 0.5797) x4
Hg (0.5000, 0.0000, 0.8188) x2

(6)
GdHoGa3Si2: calculated powder diffraction line list (Cu Kα), based on a DFT-relaxed cell (PBE, OQMD).
Kinematic intensities with the Lorentz-polarization factor, no thermal factor.

Peak list (12 most intense, 2θ from 10° to 90°, by angle)
- d = 3.775 Å, 23.57 deg, intensity 22
- d = 3.652 Å, 24.37 deg, intensity 17
- d = 3.163 Å, 28.21 deg, intensity 27
- d = 2.594 Å, 34.58 deg, intensity 49
- d = 2.553 Å, 35.15 deg, intensity 100
- d = 2.544 Å, 35.29 deg, intensity 19
- d = 2.524 Å, 35.56 deg, intensity 31
- d = 2.514 Å, 35.72 deg, intensity 18
- d = 2.292 Å, 39.31 deg, intensity 39
- d = 2.212 Å, 40.80 deg, intensity 21
- d = 2.035 Å, 44.53 deg, intensity 29
- d = 1.383 Å, 67.78 deg, intensity 16

Structure:
Unit cell a=10.2945 b=4.0696 c=6.6099 alpha=90.00 beta=101.25 gamma=90.00
Space group Cm (No. 8)
Inequivalent atoms, fractional coordinates:
Gd (0.0000, 0.0000, 0.0000) x2
Ho (0.2619, 0.5000, 0.3688) x2
Ga (0.0772, 0.0000, 0.5431) x2
Ga (0.1848, 0.5000, 0.8236) x2
Ga (0.3794, 0.0000, 0.6830) x2
Si (0.2876, 0.0000, 0.0530) x2
Si (0.4745, 0.0000, 0.3194) x2